[1]
Simulated XRD peak list of Ni4C for Cu Kα (weighted mean of Kα1 and Kα2), from a DFT-relaxed cell (GGA-PBE, Alexandria).
Neutral-atom scattering factors, no anomalous dispersion.

Atomic structure:
```
Ni4C
1.0
3.7726 0.0000 0.0000
0.0000 3.7726 0.0000
0.0000 0.0000 3.7726
Ni C
4 1
Direct
0.2314 0.2314 0.7686
0.2314 0.7686 0.2314
0.7686 0.2314 0.2314
0.7686 0.7686 0.7686
0.5000 0.5000 0.5000
```

Principal peaks in the range 2θ from 10° to 80°, sorted by position:
2theta	Rel. int.
23.58	2
33.60	1
41.46	100
48.25	43
54.38	3
60.07	5
70.62	27
75.62	2


[2]
Simulated XRD peak list of NpNi6C for Cu Kα (weighted mean of Kα1 and Kα2), from a DFT-relaxed cell (GGA-PBE, Alexandria).
Neutral-atom scattering factors, no anomalous dispersion.

Atomic structure:
```
NpNi6C
1.0
2.5505 1.4725 4.5169
-2.5505 1.4725 4.5169
0.0000 -2.9451 4.5169
Np Ni C
1 6 1
Direct
0.0000 0.0000 0.0000
0.0754 0.5956 0.5956
0.4044 0.4044 0.9246
0.4044 0.9246 0.4044
0.5956 0.0754 0.5956
0.5956 0.5956 0.0754
0.9246 0.4044 0.4044
0.5000 0.5000 0.5000
```

Principal peaks in the range 2θ from 10° to 80°, sorted by position:
2theta	Rel. int.
21.15	24
24.05	36
33.33	69
38.99	44
40.62	39
41.42	100
43.07	50
54.25	40